This entry pairs a crystal structure of CsSm2I5 with its calculated PXRD pattern. Radiation: Cu Ka. Structure: the PBE geometry in the Materials Project.

Crystal structure
```
CsSm2I5
1.0
9.994 0.000 0.000
0.000 9.173 0.000
-0.596 0.000 13.852
Cs Sm I
4 8 20
Direct
0.006 0.082 0.331
0.006 0.418 0.831
0.994 0.582 0.169
0.994 0.918 0.669
0.277 0.602 0.501
0.277 0.898 0.001
0.497 0.604 0.185
0.497 0.896 0.685
0.503 0.104 0.315
0.503 0.396 0.815
0.723 0.102 0.999
0.723 0.398 0.499
0.028 0.183 0.064
0.028 0.317 0.564
0.283 0.653 0.727
0.283 0.847 0.227
0.296 0.117 0.809
0.296 0.383 0.309
0.303 0.544 0.999
0.303 0.956 0.499
0.443 0.166 0.088
0.443 0.334 0.588
0.557 0.666 0.412
0.557 0.834 0.912
0.697 0.044 0.501
0.697 0.456 0.001
0.704 0.617 0.691
0.704 0.883 0.191
0.717 0.153 0.773
0.717 0.347 0.273
0.972 0.683 0.436
0.972 0.817 0.936
```

The 6 most intense peaks (10 to 90 degrees two-theta), most intense first:
two_theta, I_rel
26.99, 100
27.53, 97
27.37, 93
28.58, 67
33.63, 44
39.30, 42

This entry pairs a crystal structure of Cs2SnI6 with its calculated PXRD pattern. Radiation: Cu Ka. Structure: the PBE geometry in the Materials Project.

Crystal structure
```
Cs2SnI6
1.0
0.000 6.033 6.033
6.033 0.000 6.033
6.033 6.033 0.000
Cs Sn I
2 1 6
Direct
0.250 0.250 0.250
0.750 0.750 0.750
0.000 0.000 0.000
0.241 0.241 0.759
0.241 0.759 0.241
0.241 0.759 0.759
0.759 0.241 0.241
0.759 0.241 0.759
0.759 0.759 0.241
```

The 6 most intense peaks (10 to 90 degrees two-theta), most intense first:
two_theta, I_rel
25.58, 100
29.62, 83
42.38, 61
50.15, 45
69.71, 27
52.55, 21

This entry pairs a crystal structure of CsSrI3 with its calculated PXRD pattern. Radiation: Cu Ka. Structure: the PBE geometry in the Materials Project.

Crystal structure
```
CsSrI3
1.0
2.450 -8.226 0.000
2.450 8.226 0.000
0.000 0.000 12.394
Cs Sr I
2 2 6
Direct
0.250 0.750 0.750
0.750 0.250 0.250
0.000 0.000 0.000
0.000 0.000 0.500
0.068 0.932 0.250
0.368 0.632 0.051
0.368 0.632 0.449
0.632 0.368 0.551
0.632 0.368 0.949
0.932 0.068 0.750
```

The 6 most intense peaks (10 to 90 degrees two-theta), most intense first:
two_theta, I_rel
25.41, 100
28.80, 78
24.36, 65
24.11, 57
44.15, 42
28.35, 37

This entry pairs a crystal structure of CsSrI3 with its calculated PXRD pattern. Radiation: Cu Ka. Structure: the PBE geometry in the Materials Project.

Crystal structure
```
CsSrI3
1.0
4.577 -4.576 0.000
4.577 4.576 0.000
-0.015 0.000 6.465
Cs Sr I
1 1 3
Direct
0.000 0.000 0.000
0.496 0.496 0.518
0.503 0.999 0.514
0.514 0.514 0.017
0.999 0.503 0.514
```

The 6 most intense peaks (10 to 90 degrees two-theta), most intense first:
two_theta, I_rel
27.57, 100
23.82, 96
39.39, 76
46.55, 42
64.38, 29
48.74, 20

This entry pairs a crystal structure of CsTaI6 with its calculated PXRD pattern. Radiation: Cu Ka. Structure: the PBE geometry in the Materials Project.

Crystal structure
```
CsTaI6
1.0
7.068 -3.719 0.000
7.068 3.719 0.000
-2.873 0.000 14.092
Cs Ta I
2 2 12
Direct
0.089 0.911 0.750
0.911 0.089 0.250
0.000 0.500 0.000
0.500 0.000 0.500
0.095 0.208 0.534
0.195 0.378 0.836
0.208 0.095 0.034
0.316 0.525 0.102
0.378 0.195 0.336
0.475 0.684 0.398
0.525 0.316 0.602
0.622 0.805 0.664
0.684 0.475 0.898
0.792 0.905 0.966
0.805 0.622 0.164
0.905 0.792 0.466
```

The 6 most intense peaks (10 to 90 degrees two-theta), most intense first:
two_theta, I_rel
27.36, 100
27.59, 95
27.85, 94
35.90, 63
42.33, 53
26.31, 47

This entry pairs a crystal structure of CsTiI3 with its calculated PXRD pattern. Radiation: Cu Ka. Structure: the PBE geometry in the Materials Project.

Crystal structure
```
CsTiI3
1.0
8.343 0.000 0.000
-4.172 7.225 0.000
0.000 0.000 6.996
Cs Ti I
2 2 6
Direct
0.333 0.667 0.250
0.667 0.333 0.750
0.000 0.000 0.000
0.000 0.000 0.500
0.159 0.317 0.750
0.159 0.841 0.750
0.317 0.159 0.250
0.683 0.841 0.750
0.841 0.159 0.250
0.841 0.683 0.250
```

The 6 most intense peaks (10 to 90 degrees two-theta), most intense first:
two_theta, I_rel
27.79, 100
46.34, 24
35.73, 24
70.23, 23
25.46, 23
43.38, 23

This entry pairs a crystal structure of CsTi2I7 with its calculated PXRD pattern. Radiation: Cu Ka. Structure: the PBE geometry in the Materials Project.

Crystal structure
```
CsTi2I7
1.0
12.625 0.000 0.000
0.000 12.625 0.000
0.000 0.000 12.625
Cs Ti I
4 8 28
Direct
0.000 0.000 0.000
0.000 0.500 0.500
0.500 0.000 0.500
0.500 0.500 0.000
0.122 0.622 0.878
0.122 0.878 0.378
0.378 0.122 0.878
0.378 0.378 0.378
0.622 0.622 0.622
0.622 0.878 0.122
0.878 0.122 0.622
0.878 0.378 0.122
0.000 0.000 0.500
0.000 0.244 0.737
0.000 0.256 0.237
0.000 0.500 0.000
0.000 0.744 0.763
0.000 0.756 0.263
0.237 0.000 0.256
0.237 0.500 0.756
0.244 0.737 0.000
0.244 0.763 0.500
0.256 0.237 0.000
0.256 0.263 0.500
0.263 0.000 0.756
0.263 0.500 0.256
0.500 0.000 0.000
0.500 0.244 0.763
0.500 0.256 0.263
0.500 0.500 0.500
0.500 0.744 0.737
0.500 0.756 0.237
0.737 0.000 0.244
0.737 0.500 0.744
0.744 0.737 0.500
0.744 0.763 0.000
0.756 0.237 0.500
0.756 0.263 0.000
0.763 0.000 0.744
0.763 0.500 0.244
```

The 6 most intense peaks (10 to 90 degrees two-theta), most intense first:
two_theta, I_rel
24.42, 100
40.42, 45
47.79, 45
28.28, 42
64.33, 17
73.50, 13

This entry pairs a crystal structure of Cs3TlI6 with its calculated PXRD pattern. Radiation: Cu Ka. Structure: the PBE geometry in the Materials Project.

Crystal structure
```
Cs3TlI6
1.0
0.000 6.629 6.629
6.629 0.000 6.629
6.629 6.629 0.000
Cs Tl I
3 1 6
Direct
0.000 0.000 0.000
0.250 0.250 0.250
0.750 0.750 0.750
0.500 0.500 0.500
0.272 0.272 0.728
0.272 0.728 0.272
0.272 0.728 0.728
0.728 0.272 0.272
0.728 0.272 0.728
0.728 0.728 0.272
```

The 6 most intense peaks (10 to 90 degrees two-theta), most intense first:
two_theta, I_rel
26.90, 100
38.41, 72
23.24, 49
18.93, 35
13.36, 33
62.67, 29